Diffraction record for Ac7InPt5. The XRD peak list is theoretical, not measured: it uses a PBE-relaxed structure and Cu Kα X-rays.
Neutral-atom scattering factors, no anomalous dispersion.

Peak list (10 most intense, 10° ≤ 2θ ≤ 80°, low angle first)
2θ (°)  d (Å)  I_rel
26.5  3.364  70
28.0  3.185  100
29.0  3.075  95
29.6  3.018  40
40.2  2.241  39
40.4  2.232  28
40.5  2.225  51
41.0  2.201  49
42.2  2.144  27
49.5  1.842  32

Cell and atoms:
```
Ac7InPt5
1.0
2.200 -7.386 0.000
2.200 7.386 0.000
0.000 0.000 26.451
Ac In Pt
14 2 10
direct
0.028 0.972 0.750
0.135 0.865 0.035
0.135 0.865 0.465
0.324 0.676 0.669
0.324 0.676 0.831
0.408 0.592 0.105
0.408 0.592 0.395
0.592 0.408 0.605
0.592 0.408 0.895
0.676 0.324 0.169
0.676 0.324 0.331
0.865 0.135 0.535
0.865 0.135 0.965
0.972 0.028 0.250
0.295 0.705 0.250
0.705 0.295 0.750
0.042 0.958 0.142
0.042 0.958 0.358
0.227 0.773 0.571
0.227 0.773 0.929
0.500 0.500 0.000
0.500 0.500 0.500
0.773 0.227 0.071
0.773 0.227 0.429
0.958 0.042 0.642
0.958 0.042 0.858
```